This entry pairs a crystal structure of CeY2Sb2 with its theoretical powder XRD pattern. Radiation: Cu Kα (weighted mean of Kα1 and Kα2). Structure: a structure optimized by DFT (GGA-PBE).

Structure:
```
data_CeY2Sb2
_chemical_formula_sum 'Ce4 Y8 Sb8'
_cell_length_a 10.4912
_cell_length_b 11.9939
_cell_length_c 6.0997
_cell_angle_alpha 90.00
_cell_angle_beta 122.74
_cell_angle_gamma 90.00
_symmetry_space_group_name_H-M 'C 1 2/c 1'
_symmetry_Int_Tables_number 15
_symmetry_space_group_name_Hall '-C 2yc'
loop_
_atom_site_label
_atom_site_fract_x
_atom_site_fract_y
_atom_site_fract_z
Ce1 0.0000 0.1045 0.2500
Y1 0.1797 0.4034 0.9781
Sb1 0.0000 0.1759 0.7500
Sb2 0.0000 0.3753 0.2500
```

The 12 most intense peaks (2θ from 15° to 90°), sorted by position:
(hkl), 2θ/deg, intensity
2 0 0, 20.13, 63.0
1 1 1, 25.46, 22.8
2 0 -2, 29.32, 100.0
0 4 0, 29.80, 58.5
3 1 0, 31.31, 29.9
1 3 1, 33.19, 74.8
3 3 -1, 34.08, 43.1
2 4 -1, 35.08, 30.7
4 0 -2, 36.65, 26.3
4 2 -1, 37.71, 23.0
2 4 -2, 42.30, 47.5
2 0 2, 49.83, 22.4